For DyHo12Tm7, the GGA-PBE geometry in Alexandria gives the calculated X-ray powder pattern in this record (λ = 1.5418 Å (Cu Kα)).
No peak broadening, texture or thermal motion is included.

Structure:
```
data_DyHo12Tm7
_cell_length_a 18.3718
_cell_length_b 18.3718
_cell_length_c 6.5938
_cell_angle_alpha 90.00
_cell_angle_beta 90.00
_cell_angle_gamma 120.00
_space_group_name_H-M_alt 'R -3'
_space_group_IT_number 148
_space_group_name_Hall '-R 3'
loop_
_atom_site_label
_atom_site_fract_x
_atom_site_fract_y
_atom_site_fract_z
_atom_site_occupancy
Dy1 0.0000 0.0000 0.0000 1
Ho1 0.0007 0.2111 0.2763 1
Ho2 0.0053 0.5338 0.7419 1
Tm1 0.0000 0.0000 0.5000 1
Tm2 0.0071 0.1555 0.7748 1
```

Peak list (10 most intense, 2θ from 10° to 80°, sorted by position)
(1 4 0), 25.66°, intensity 32; (3 2 1), 27.94°, intensity 100; (1 2 2), 30.93°, intensity 99; (6 -4 1), 32.73°, intensity 31; (6 0 0), 33.80°, intensity 100; (3 1 2), 33.94°, intensity 58; (2 3 2), 36.73°, intensity 42; (8 -5 1), 42.05°, intensity 57; (3 8 1), 58.86°, intensity 36; (8 -7 3), 60.88°, intensity 39